No. 1
Tb3Sm7Dy2: computed X-ray powder pattern (λ = 1.5418 Å (Cu Kα)), based on a DFT-relaxed cell (GGA-PBE, Alexandria).
Peak positions follow from Bragg's law for the DFT cell and can differ from measured ones.

Peak list (8 most intense, 15° ≤ 2θ ≤ 90°, most intense first)
| 2θ (°) | I (rel.) |
| --- | --- |
| 31.44 | 100 |
| 30.99 | 85 |
| 30.03 | 53 |
| 33.53 | 36 |
| 34.26 | 28 |
| 55.41 | 20 |
| 28.05 | 19 |
| 44.41 | 19 |

Crystal structure
a b c (Å): 19.304 19.304 3.619
angles (deg): 90.00 90.00 162.80
Fractional positions:
1 Tb 0.000 0.000 0.000
2 Tb 0.185 0.815 0.000
3 Tb 0.815 0.185 0.000
4 Sm 0.092 0.908 0.500
5 Sm 0.268 0.732 0.500
6 Sm 0.427 0.573 0.000
7 Sm 0.500 0.500 0.500
8 Sm 0.573 0.427 0.000
9 Sm 0.732 0.268 0.500
10 Sm 0.908 0.092 0.500
11 Dy 0.352 0.648 0.500
12 Dy 0.648 0.352 0.500

=====

No. 2
Cs2TeAsS4: computed X-ray powder pattern (λ = 1.5418 Å (Cu Kα)), based on a DFT-relaxed cell (GGA-PBE, Alexandria).
Peak positions follow from Bragg's law for the DFT cell and can differ from measured ones.

Peak list (8 most intense, 15° ≤ 2θ ≤ 90°, most intense first)
| 2θ (°) | I (rel.) |
| --- | --- |
| 23.41 | 100 |
| 26.40 | 85 |
| 27.96 | 85 |
| 28.71 | 78 |
| 21.95 | 69 |
| 25.98 | 66 |
| 21.44 | 56 |
| 22.38 | 55 |

Crystal structure
a b c (Å): 8.554 8.807 8.808
angles (deg): 75.22 65.84 72.12
Fractional positions:
1 Cs 0.000 0.000 0.000
2 Cs 0.010 0.561 0.817
3 Cs 0.139 0.094 0.411
4 Cs 0.533 0.002 0.813
5 Te 0.086 0.578 0.265
6 Te 0.517 0.492 0.378
7 As 0.569 0.429 0.921
8 As 0.606 0.886 0.392
9 S 0.318 0.335 0.034
10 S 0.325 0.325 0.536
11 S 0.328 0.688 0.205
12 S 0.407 0.756 0.596
13 S 0.682 0.775 0.162
14 S 0.699 0.339 0.133
15 S 0.778 0.263 0.747
16 S 0.871 0.791 0.456